# Th2CuP3O12
Calculated PXRD pattern, Cu Kα X-rays. Input: a DFT-relaxed cell (GGA-PBE, the Materials Project).

Cell and atoms:
abc: 11.5512 11.5512 7.1274
angles: 106.34 106.34 34.19
Fractional positions:
Th: 0.0065 0.7136 0.8430
Th: 0.2864 0.9935 0.6570
Th: 0.7136 0.0065 0.3430
Th: 0.9935 0.2864 0.1570
Cu: 0.5000 0.5000 0.0000
Cu: 0.5000 0.5000 0.5000
P: 0.1358 0.5012 0.3051
P: 0.1410 0.8590 0.2500
P: 0.4988 0.8642 0.1949
P: 0.5012 0.1358 0.8051
P: 0.8590 0.1410 0.7500
P: 0.8642 0.4988 0.6949
O: 0.0166 0.6423 0.1380
O: 0.0320 0.6622 0.4918
O: 0.0388 0.0657 0.7115
O: 0.0657 0.0388 0.2115
O: 0.0996 0.3960 0.2758
O: 0.2413 0.6881 0.0729
O: 0.3119 0.7587 0.4271
O: 0.3378 0.9680 0.0082
O: 0.3398 0.3682 0.8223
O: 0.3577 0.9834 0.3620
O: 0.3682 0.3398 0.3223
O: 0.3960 0.0996 0.7758
O: 0.6040 0.9004 0.2242
O: 0.6318 0.6602 0.6777
O: 0.6423 0.0166 0.6380
O: 0.6602 0.6318 0.1777
O: 0.6622 0.0320 0.9918
O: 0.6881 0.2413 0.5729
O: 0.7587 0.3119 0.9271
O: 0.9004 0.6040 0.7242
O: 0.9343 0.9612 0.7885
O: 0.9612 0.9343 0.2885
O: 0.9680 0.3378 0.5082
O: 0.9834 0.3577 0.8620

Principal peaks in the range 2θ = 15–90°, low angle first:
- 2θ = 16.80°, d = 5.276 Å, rel. 70.8
- 2θ = 18.16°, d = 4.886 Å, rel. 63.5
- 2θ = 19.77°, d = 4.491 Å, rel. 50.7
- 2θ = 20.08°, d = 4.421 Å, rel. 100.0
- 2θ = 25.00°, d = 3.562 Å, rel. 85.1
- 2θ = 25.32°, d = 3.517 Å, rel. 51.5
- 2θ = 29.39°, d = 3.039 Å, rel. 50.9
- 2θ = 29.50°, d = 3.028 Å, rel. 49.3
- 2θ = 30.73°, d = 2.910 Å, rel. 55.2
- 2θ = 35.99°, d = 2.495 Å, rel. 46.3